Diffraction record for KTbS2. The powder diffractogram is simulated, not measured: it uses DFT lattice parameters and positions (PBE) and Cu Kα X-rays.
Neutral-atom scattering factors, no anomalous dispersion.

Principal peaks in the range 2θ from 10° to 90°, low angle first:
11.76 deg, intensity 100
25.71 deg, intensity 43
26.62 deg, intensity 64
32.32 deg, intensity 94
37.90 deg, intensity 38
44.76 deg, intensity 41

Crystal structure
abc: 7.8798 7.8798 7.8798
angles: 29.78 29.78 29.78
Fractional coordinates of all 4 atoms:
K1 0.0000 0.0000 0.0000
Tb1 0.8304 0.8304 0.8304
S1 0.2306 0.2306 0.2306
S2 0.4301 0.4301 0.4301